Diffraction record for K3DyF6. The powder diffraction line list is computed, not measured: it uses the PBE geometry in the Materials Project and Cu Kα (λ = 1.5418 Å).
Lines closer than 0.1° are merged.

Cell and atoms:
Cell: 6.6558 6.6558 6.6558 Å, 60.00 60.00 60.00°
Atoms (fractional coordinates):
K (0.0000, 0.0000, 0.0000)
K (0.2500, 0.2500, 0.2500)
K (0.7500, 0.7500, 0.7500)
Dy (0.5000, 0.5000, 0.5000)
F (0.2686, 0.2686, 0.7314)
F (0.2686, 0.7314, 0.2686)
F (0.2686, 0.7314, 0.7314)
F (0.7314, 0.2686, 0.2686)
F (0.7314, 0.2686, 0.7314)
F (0.7314, 0.7314, 0.2686)

The 10 most intense peaks (2θ = 10–80°), in order of rising 2θ:
2theta	Rel. int.
16.31	61
18.86	49
26.79	100
31.52	28
38.25	49
42.97	22
47.31	39
55.20	30
62.40	19
75.60	20

Diffraction record for Li2CuF5. The powder diffraction line list is computed, not measured: it uses the PBE geometry in the Materials Project and Cu Kα (λ = 1.5418 Å).
Lines closer than 0.1° are merged.

Cell and atoms:
Cell: 5.0221 5.6313 7.4939 Å, 97.41 106.14 115.16°
Atoms (fractional coordinates):
Li (0.0727, 0.4531, 0.2161)
Li (0.3682, 0.0107, 0.2400)
Li (0.6318, 0.9893, 0.7600)
Li (0.9273, 0.5469, 0.7839)
Cu (0.0000, 0.0000, 0.5000)
Cu (0.5000, 0.5000, 0.0000)
F (0.0557, 0.2795, 0.9559)
F (0.1831, 0.2117, 0.3615)
F (0.1923, 0.8031, 0.4598)
F (0.3772, 0.7097, 0.8468)
F (0.4855, 0.2758, 0.7734)
F (0.5145, 0.7242, 0.2266)
F (0.6228, 0.2903, 0.1532)
F (0.8077, 0.1969, 0.5402)
F (0.8169, 0.7883, 0.6385)
F (0.9443, 0.7205, 0.0441)

The 10 most intense peaks (2θ = 10–80°), in order of rising 2θ:
2theta	Rel. int.
19.04	100
20.07	52
20.18	50
25.15	59
25.82	28
28.59	36
30.69	26
34.10	28
51.14	26
53.48	16

Diffraction record for NaH3C4O5. The powder diffraction line list is computed, not measured: it uses the PBE geometry in the Materials Project and Cu Kα (λ = 1.5418 Å).
Lines closer than 0.1° are merged.

Cell and atoms:
Cell: 3.9013 8.1646 9.8362 Å, 90.00 102.46 90.00°
Atoms (fractional coordinates):
Na (0.0000, 0.1379, 0.0000)
Na (0.0000, 0.8621, 0.5000)
H (0.2617, 0.4869, 0.6293)
H (0.2617, 0.5131, 0.1293)
H (0.4073, 0.2271, 0.7846)
H (0.4073, 0.7729, 0.2846)
H (0.4278, 0.0359, 0.7866)
H (0.4278, 0.9641, 0.2866)
C (0.6108, 0.4430, 0.2951)
C (0.6108, 0.5570, 0.7951)
C (0.6161, 0.2654, 0.2848)
C (0.6161, 0.7346, 0.7848)
C (0.8577, 0.4435, 0.4272)
C (0.8577, 0.5565, 0.9272)
C (0.8651, 0.2600, 0.4251)
C (0.8651, 0.7400, 0.9251)
O (0.0074, 0.4475, 0.0111)
O (0.0074, 0.5525, 0.5111)
O (0.0086, 0.1522, 0.5052)
O (0.0086, 0.8478, 0.0052)
O (0.4252, 0.1323, 0.8474)
O (0.4252, 0.8677, 0.3474)
O (0.4438, 0.4397, 0.7172)
O (0.4438, 0.5603, 0.2172)
O (0.4729, 0.1605, 0.1979)
O (0.4729, 0.8395, 0.6979)

The 10 most intense peaks (2θ = 10–80°), in order of rising 2θ:
2theta	Rel. int.
14.24	17
18.48	11
25.66	14
26.55	100
32.91	23
33.02	27
34.26	13
35.64	11
42.77	13
47.32	10

Diffraction record for AlPt3C. The powder diffraction line list is computed, not measured: it uses the PBE geometry in the Materials Project and Cu Kα (λ = 1.5418 Å).
Lines closer than 0.1° are merged.

Cell and atoms:
Cell: 4.1852 4.1852 4.1852 Å, 90.00 90.00 90.00°
Atoms (fractional coordinates):
Al (0.0000, 0.0000, 0.0000)
Pt (0.0000, 0.5000, 0.5000)
Pt (0.5000, 0.0000, 0.5000)
Pt (0.5000, 0.5000, 0.0000)
C (0.5000, 0.5000, 0.5000)

The 10 most intense peaks (2θ = 10–80°), in order of rising 2θ:
2theta	Rel. int.
21.23	27
30.20	17
37.21	100
43.23	53
48.65	12
53.64	7
62.80	35
67.09	6
75.31	40
79.30	12